Computed powder diffractogram of Tm2GaB2Ir5 for Cu Kα (weighted mean of Kα1 and Kα2), from a DFT-relaxed cell (PBE, Alexandria).
Neutral-atom scattering factors, no anomalous dispersion.

Peak list (10 most intense, 2θ from 15° to 90°, most intense first)
h k l  d/Å  I (rel.)
4 1 0  2.310  100.0
3 1 1  2.182  73.5
2 1 1  2.540  66.2
3 2 1  2.028  33.0
5 5 0  1.347  31.1
4 2 0  2.130  29.4
3 2 0  2.640  26.6
4 1 2  1.305  24.4
0 0 1  3.164  19.5
6 0 1  1.420  18.3

Cell and atoms:
```
data_Tm2GaB2Ir5
_chemical_formula_sum 'Tm4 Ga2 B4 Ir10'
_space_group_name_H-M_alt 'P 4/m b m'
_space_group_IT_number 127
_space_group_name_Hall '-P 4 2ab'
_cell_length_a 9.528
_cell_length_b 9.528
_cell_length_c 3.164
_cell_angle_alpha 90.00
_cell_angle_beta 90.00
_cell_angle_gamma 90.00
loop_
_atom_site_label
_atom_site_type_symbol
_atom_site_fract_x
_atom_site_fract_y
_atom_site_fract_z
Tm1 Tm 0.176 0.324 0.000
Ga1 Ga 0.000 0.000 0.000
B1 B 0.122 0.622 0.000
Ir1 Ir 0.000 0.500 0.500
Ir2 Ir 0.069 0.781 0.500
```

***

Computed powder diffractogram of AlNiBr2 for Cu Kα (weighted mean of Kα1 and Kα2), from a DFT-relaxed cell (PBE, Alexandria).
Neutral-atom scattering factors, no anomalous dispersion.

Peak list (10 most intense, 2θ from 15° to 90°, most intense first)
h k l  d/Å  I (rel.)
0 2 0  3.390  100.0
1 1 2  2.500  75.7
1 1 3  2.138  67.3
0 0 2  4.608  47.2
1 1 1  2.832  43.0
1 3 3  1.595  25.9
0 2 2  2.730  24.6
1 3 2  1.730  23.9
0 2 5  1.619  20.4
2 2 0  1.488  16.3

Cell and atoms:
```
data_AlNiBr2
_chemical_formula_sum 'Al2 Ni2 Br4'
_space_group_name_H-M_alt 'C m m 2'
_space_group_IT_number 35
_space_group_name_Hall 'C 2 -2'
_cell_length_a 3.312
_cell_length_b 6.779
_cell_length_c 9.216
_cell_angle_alpha 90.00
_cell_angle_beta 90.00
_cell_angle_gamma 90.00
loop_
_atom_site_label
_atom_site_type_symbol
_atom_site_fract_x
_atom_site_fract_y
_atom_site_fract_z
Al1 Al 0.000 0.000 0.000
Ni1 Ni 0.000 0.500 0.192
Br1 Br 0.000 0.000 0.376
Br2 Br 0.000 0.500 0.792
```

***

Computed powder diffractogram of PuS2Cl5 for Cu Kα (weighted mean of Kα1 and Kα2), from a DFT-relaxed cell (PBE, Alexandria).
Neutral-atom scattering factors, no anomalous dispersion.

Peak list (10 most intense, 2θ from 15° to 90°, most intense first)
h k l  d/Å  I (rel.)
1 0 -1  4.886  100.0
-1 1 1  4.477  40.8
0 2 -2  2.966  27.4
0 1 2  3.014  27.4
-2 1 2  2.505  25.7
2 0 -2  2.441  22.7
0 1 1  4.394  22.2
0 1 -2  3.974  22.2
0 0 2  4.012  20.0
1 0 0  4.693  19.4

Cell and atoms:
```
data_PuS2Cl5
_chemical_formula_sum 'Pu1 S2 Cl5'
_space_group_name_H-M_alt 'P -1'
_space_group_IT_number 2
_space_group_name_Hall '-P 1'
_cell_length_a 5.376
_cell_length_b 7.156
_cell_length_c 8.723
_cell_angle_alpha 100.05
_cell_angle_beta 105.44
_cell_angle_gamma 110.87
loop_
_atom_site_label
_atom_site_type_symbol
_atom_site_fract_x
_atom_site_fract_y
_atom_site_fract_z
Pu1 Pu 0.000 0.000 0.000
S1 S 0.417 0.855 0.461
Cl1 Cl 0.059 0.279 0.848
Cl2 Cl 0.266 0.284 0.283
Cl3 Cl 0.500 0.000 0.000
```